K12MgPb4O10: calculated powder X-ray diffraction pattern (Cu Kα), based on a GGA-PBE-relaxed structure.

```
data_K12MgPb4O10
_chemical_formula_sum 'K12 Mg1 Pb4 O10'
_cell_length_a 6.9744
_cell_length_b 7.9756
_cell_length_c 13.0405
_cell_angle_alpha 77.41
_cell_angle_beta 78.36
_cell_angle_gamma 82.61
_space_group_name_H-M_alt 'P 1'
_space_group_IT_number 1
loop_
_space_group_symop_operation_xyz
'x,y,z'
loop_
_atom_site_label
_atom_site_fract_x
_atom_site_fract_y
_atom_site_fract_z
_atom_site_occupancy
K1 0.0000 0.0000 0.0000 1
K2 0.0071 0.5396 0.0113 1
K3 0.1183 0.7996 0.2715 1
K4 0.1806 0.2504 0.2719 1
K5 0.2457 0.9005 0.5132 1
K6 0.2935 0.4520 0.5078 1
K7 0.3725 0.0999 0.7501 1
K8 0.4638 0.7988 0.9874 1
K9 0.5852 0.9371 0.2009 1
K10 0.7914 0.7051 0.5231 1
K11 0.9076 0.3547 0.7734 1
K12 0.9150 0.9036 0.7594 1
Mg1 0.6742 0.1122 0.3861 1
Pb1 0.3192 0.5935 0.7620 1
Pb2 0.4487 0.2477 0.9822 1
Pb3 0.7394 0.5315 0.2924 1
Pb4 0.8657 0.2502 0.5316 1
O1 0.0829 0.6377 0.6687 1
O2 0.1023 0.1662 0.6185 1
O3 0.2037 0.7776 0.8683 1
O4 0.2152 0.3392 0.8750 1
O5 0.2853 0.0503 0.1005 1
O6 0.5308 0.7032 0.3789 1
O7 0.6459 0.0764 0.8899 1
O8 0.8839 0.7230 0.1580 1
O9 0.9351 0.0460 0.4212 1
O10 0.9831 0.4752 0.4023 1
```

The 12 most intense peaks (10° ≤ 2θ ≤ 80°), most intense first:
d (Å)	2theta	I (rel.)	(hkl)
5.507	16.09	100	1 1 1
5.574	15.90	85	1 0 -1
2.755	32.50	62	1 2 -2
5.423	16.35	59	0 1 2
3.084	28.96	54	1 -2 1
3.140	28.43	54	2 0 -1
4.565	19.45	46	-1 1 1
2.668	33.59	43	-1 2 3
3.130	28.52	42	0 0 4
3.636	24.48	33	0 2 2
7.753	11.41	28	0 1 0
3.881	22.92	23	1 0 3